1.
Computed powder X-ray diffraction pattern
Compound: Na2InAu
Radiation: Cu Kα X-rays
Structure: the GGA-PBE geometry in Alexandria
Intensities are scaled so that the largest is 100.

Principal peaks in the range 5° ≤ 2θ ≤ 70°, sorted by position:
| 2θ/deg | I_rel |
| --- | --- |
| 18.77 | 100 |
| 22.61 | 33 |
| 22.99 | 70 |
| 35.24 | 23 |
| 35.50 | 47 |
| 36.22 | 63 |
| 36.96 | 30 |
| 41.10 | 55 |
| 41.77 | 27 |
| 53.56 | 27 |

Structural model:
```
data_Na2InAu
_chemical_formula_sum 'Na4 In2 Au2'
_cell_length_a 4.864
_cell_length_b 9.453
_cell_length_c 4.956
_cell_angle_alpha 90.00
_cell_angle_beta 119.25
_cell_angle_gamma 90.00
_symmetry_space_group_name_H-M 'P 1 21/m 1'
_symmetry_Int_Tables_number 11
_symmetry_space_group_name_Hall '-P 2yb'
loop_
_atom_site_label
_atom_site_type_symbol
_atom_site_fract_x
_atom_site_fract_y
_atom_site_fract_z
Na1 Na 0.164 0.077 0.328
In1 In 0.496 0.250 0.993
Au1 Au 0.172 0.750 0.348
```



2.
Computed powder X-ray diffraction pattern
Compound: NaInAu4
Radiation: Cu Kα X-rays
Structure: the GGA-PBE geometry in Alexandria
Intensities are scaled so that the largest is 100.

Principal peaks in the range 5° ≤ 2θ ≤ 70°, sorted by position:
| 2θ/deg | I_rel |
| --- | --- |
| 17.86 | 24 |
| 21.13 | 22 |
| 26.21 | 19 |
| 30.97 | 24 |
| 34.74 | 19 |
| 37.79 | 100 |
| 38.55 | 88 |
| 41.92 | 99 |
| 60.78 | 40 |
| 64.55 | 13 |

Structural model:
```
data_NaInAu4
_chemical_formula_sum 'Na4 In4 Au16'
_cell_length_a 4.307
_cell_length_b 19.455
_cell_length_c 5.775
_cell_angle_alpha 90.00
_cell_angle_beta 90.00
_cell_angle_gamma 90.00
_symmetry_space_group_name_H-M 'C m c m'
_symmetry_Int_Tables_number 63
_symmetry_space_group_name_Hall '-C 2c 2'
loop_
_atom_site_label
_atom_site_type_symbol
_atom_site_fract_x
_atom_site_fract_y
_atom_site_fract_z
Na1 Na 0.000 0.085 0.250
In1 In 0.000 0.225 0.750
Au1 Au 0.000 0.070 0.750
Au2 Au 0.000 0.347 0.005
Au3 Au 0.000 0.500 0.000
```



3.
Computed powder X-ray diffraction pattern
Compound: NaIn9Au2
Radiation: Cu Kα X-rays
Structure: the GGA-PBE geometry in Alexandria
Intensities are scaled so that the largest is 100.

Principal peaks in the range 5° ≤ 2θ ≤ 70°, sorted by position:
| 2θ/deg | I_rel |
| --- | --- |
| 13.69 | 90 |
| 27.60 | 32 |
| 30.91 | 22 |
| 32.45 | 100 |
| 36.58 | 44 |
| 36.69 | 71 |
| 36.80 | 66 |
| 39.18 | 20 |
| 39.29 | 26 |
| 39.43 | 87 |

Structural model:
```
data_NaIn9Au2
_chemical_formula_sum 'Na8 In72 Au16'
_cell_length_a 7.457
_cell_length_b 18.280
_cell_length_c 18.401
_cell_angle_alpha 90.00
_cell_angle_beta 90.00
_cell_angle_gamma 90.00
_symmetry_space_group_name_H-M 'F d d d'
_symmetry_Int_Tables_number 70
loop_
_symmetry_equiv_pos_as_xyz
'x,y,z'
'-x,-y,-z'
'-x+1/4,-y+1/4,z'
'x+1/4,y+1/4,-z'
'x,-y+1/4,-z+1/4'
'-x,y+1/4,z+1/4'
'-x+1/4,y,-z+1/4'
'x+1/4,-y,z+1/4'
'x,y+1/2,z+1/2'
'-x,-y+1/2,-z+1/2'
'-x+1/4,-y+3/4,z+1/2'
'x+1/4,y+3/4,-z+1/2'
'x,-y+3/4,-z+3/4'
'-x,y+3/4,z+3/4'
'-x+1/4,y+1/2,-z+3/4'
'x+1/4,-y+1/2,z+3/4'
'x+1/2,y,z+1/2'
'-x+1/2,-y,-z+1/2'
'-x+3/4,-y+1/4,z+1/2'
'x+3/4,y+1/4,-z+1/2'
'x+1/2,-y+1/4,-z+3/4'
'-x+1/2,y+1/4,z+3/4'
'-x+3/4,y,-z+3/4'
'x+3/4,-y,z+3/4'
'x+1/2,y+1/2,z'
'-x+1/2,-y+1/2,-z'
'-x+3/4,-y+3/4,z'
'x+3/4,y+3/4,-z'
'x+1/2,-y+3/4,-z+1/4'
'-x+1/2,y+3/4,z+1/4'
'-x+3/4,y+1/2,-z+1/4'
'x+3/4,-y+1/2,z+1/4'
loop_
_atom_site_label
_atom_site_type_symbol
_atom_site_fract_x
_atom_site_fract_y
_atom_site_fract_z
Na1 Na 0.125 0.125 0.125
In1 In 0.089 0.026 0.347
In2 In 0.089 0.345 0.024
In3 In 0.125 0.125 0.625
Au1 Au 0.000 0.000 0.500
```



4.
Computed powder X-ray diffraction pattern
Compound: Na5In2Au5
Radiation: Cu Kα X-rays
Structure: the GGA-PBE geometry in Alexandria
Intensities are scaled so that the largest is 100.

Principal peaks in the range 5° ≤ 2θ ≤ 70°, sorted by position:
| 2θ/deg | I_rel |
| --- | --- |
| 8.93 | 46 |
| 17.91 | 100 |
| 18.52 | 31 |
| 21.41 | 46 |
| 35.90 | 41 |
| 36.30 | 45 |
| 36.78 | 30 |
| 37.00 | 29 |
| 37.74 | 34 |
| 39.63 | 47 |

Structural model:
```
data_Na5In2Au5
_chemical_formula_sum 'Na5 In2 Au5'
_cell_length_a 5.605
_cell_length_b 5.638
_cell_length_c 9.951
_cell_angle_alpha 84.97
_cell_angle_beta 85.00
_cell_angle_gamma 62.09
_symmetry_space_group_name_H-M 'P -1'
_symmetry_Int_Tables_number 2
_symmetry_space_group_name_Hall '-P 1'
loop_
_atom_site_label
_atom_site_type_symbol
_atom_site_fract_x
_atom_site_fract_y
_atom_site_fract_z
Na1 Na 0.000 0.000 0.000
Na2 Na 0.334 0.334 0.558
Na3 Na 0.337 0.337 0.911
In1 In 0.179 0.177 0.249
Au1 Au 0.000 0.000 0.500
Au2 Au 0.170 0.669 0.266
Au3 Au 0.330 0.828 0.735
```



5.
Computed powder X-ray diffraction pattern
Compound: Na5InAu2
Radiation: Cu Kα X-rays
Structure: the GGA-PBE geometry in Alexandria
Intensities are scaled so that the largest is 100.

Principal peaks in the range 5° ≤ 2θ ≤ 70°, sorted by position:
| 2θ/deg | I_rel |
| --- | --- |
| 15.55 | 32 |
| 18.69 | 31 |
| 19.74 | 100 |
| 27.31 | 93 |
| 33.86 | 85 |
| 34.00 | 93 |
| 37.90 | 35 |
| 40.11 | 55 |
| 43.09 | 29 |
| 56.36 | 38 |

Structural model:
```
data_Na5InAu2
_chemical_formula_sum 'Na10 In2 Au4'
_cell_length_a 6.379
_cell_length_b 12.683
_cell_length_c 4.748
_cell_angle_alpha 90.00
_cell_angle_beta 90.00
_cell_angle_gamma 90.00
_symmetry_space_group_name_H-M 'P b a m'
_symmetry_Int_Tables_number 55
_symmetry_space_group_name_Hall '-P 2 2ab'
loop_
_atom_site_label
_atom_site_type_symbol
_atom_site_fract_x
_atom_site_fract_y
_atom_site_fract_z
Na1 Na 0.000 0.000 0.000
Na2 Na 0.045 0.247 0.000
Na3 Na 0.232 0.873 0.500
In1 In 0.000 0.500 0.000
Au1 Au 0.219 0.617 0.500
```



6.
Computed powder X-ray diffraction pattern
Compound: Na3InAu4
Radiation: Cu Kα X-rays
Structure: the GGA-PBE geometry in Alexandria
Intensities are scaled so that the largest is 100.

Principal peaks in the range 5° ≤ 2θ ≤ 70°, sorted by position:
| 2θ/deg | I_rel |
| --- | --- |
| 20.92 | 61 |
| 23.20 | 24 |
| 23.78 | 85 |
| 34.67 | 18 |
| 34.78 | 18 |
| 36.45 | 100 |
| 38.73 | 44 |
| 41.66 | 42 |
| 45.85 | 17 |
| 46.10 | 31 |

Structural model:
```
data_Na3InAu4
_chemical_formula_sum 'Na3 In1 Au4'
_cell_length_a 4.650
_cell_length_b 5.885
_cell_length_c 7.361
_cell_angle_alpha 75.51
_cell_angle_beta 89.96
_cell_angle_gamma 67.01
_symmetry_space_group_name_H-M 'P 1'
_symmetry_Int_Tables_number 1
_symmetry_space_group_name_Hall 'P 1'
loop_
_atom_site_label
_atom_site_type_symbol
_atom_site_fract_x
_atom_site_fract_y
_atom_site_fract_z
Na1 Na 0.000 0.000 0.000
Na2 Na 0.259 0.481 0.329
Na3 Na 0.518 0.965 0.660
In1 In 0.259 0.483 0.829
Au1 Au 0.564 0.870 0.277
Au2 Au 0.717 0.565 0.027
Au3 Au 0.801 0.399 0.632
Au4 Au 0.955 0.093 0.383
```



7.
Computed powder X-ray diffraction pattern
Compound: Na2In12Au
Radiation: Cu Kα X-rays
Structure: the GGA-PBE geometry in Alexandria
Intensities are scaled so that the largest is 100.

Principal peaks in the range 5° ≤ 2θ ≤ 70°, sorted by position:
| 2θ/deg | I_rel |
| --- | --- |
| 9.39 | 73 |
| 21.02 | 77 |
| 26.72 | 25 |
| 28.34 | 44 |
| 33.18 | 23 |
| 35.91 | 32 |
| 38.07 | 63 |
| 38.40 | 24 |
| 38.49 | 23 |
| 39.37 | 100 |

Structural model:
```
data_Na2In12Au
_chemical_formula_sum 'Na4 In24 Au2'
_cell_length_a 6.686
_cell_length_b 6.686
_cell_length_c 18.841
_cell_angle_alpha 90.00
_cell_angle_beta 90.00
_cell_angle_gamma 90.00
_symmetry_space_group_name_H-M 'P 4/n b m'
_symmetry_Int_Tables_number 125
loop_
_symmetry_equiv_pos_as_xyz
'x,y,z'
'-x,-y,-z'
'-y+1/2,x,z'
'y+1/2,-x,-z'
'-x+1/2,-y+1/2,z'
'x+1/2,y+1/2,-z'
'y,-x+1/2,z'
'-y,x+1/2,-z'
'x,-y+1/2,-z'
'-x,y+1/2,z'
'-y+1/2,-x+1/2,-z'
'y+1/2,x+1/2,z'
'-x+1/2,y,-z'
'x+1/2,-y,z'
'y,x,-z'
'-y,-x,z'
loop_
_atom_site_label
_atom_site_type_symbol
_atom_site_fract_x
_atom_site_fract_y
_atom_site_fract_z
Na1 Na 0.250 0.750 0.243
In1 In 0.000 0.000 0.412
In2 In 0.078 0.578 0.069
In3 In 0.250 0.250 0.161
In4 In 0.250 0.250 0.312
Au1 Au 0.250 0.750 0.500
```



8.
Computed powder X-ray diffraction pattern
Compound: RbNaInAu
Radiation: Cu Kα X-rays
Structure: the GGA-PBE geometry in Alexandria
Intensities are scaled so that the largest is 100.

Principal peaks in the range 5° ≤ 2θ ≤ 70°, sorted by position:
| 2θ/deg | I_rel |
| --- | --- |
| 13.39 | 100 |
| 21.39 | 21 |
| 22.77 | 24 |
| 26.97 | 33 |
| 27.65 | 30 |
| 30.80 | 57 |
| 36.45 | 51 |
| 36.74 | 25 |
| 38.99 | 31 |
| 45.92 | 32 |

Structural model:
```
data_RbNaInAu
_chemical_formula_sum 'Rb2 Na2 In2 Au2'
_cell_length_a 8.562
_cell_length_b 4.893
_cell_length_c 7.202
_cell_angle_alpha 90.00
_cell_angle_beta 113.37
_cell_angle_gamma 90.00
_symmetry_space_group_name_H-M 'C 1 m 1'
_symmetry_Int_Tables_number 8
_symmetry_space_group_name_Hall 'C -2y'
loop_
_atom_site_label
_atom_site_type_symbol
_atom_site_fract_x
_atom_site_fract_y
_atom_site_fract_z
Rb1 Rb 0.000 0.000 0.000
Na1 Na 0.195 0.000 0.589
In1 In 0.459 0.000 0.381
Au1 Au 0.298 0.500 0.401
```



9.
Computed powder X-ray diffraction pattern
Compound: NaInSnAu
Radiation: Cu Kα X-rays
Structure: the GGA-PBE geometry in Alexandria
Intensities are scaled so that the largest is 100.

Principal peaks in the range 5° ≤ 2θ ≤ 70°, sorted by position:
| 2θ/deg | I_rel |
| --- | --- |
| 13.42 | 100 |
| 18.94 | 50 |
| 29.82 | 61 |
| 30.22 | 80 |
| 31.74 | 94 |
| 34.64 | 68 |
| 36.29 | 79 |
| 38.41 | 56 |
| 40.29 | 67 |
| 46.11 | 38 |

Structural model:
```
data_NaInSnAu
_chemical_formula_sum 'Na2 In2 Sn2 Au2'
_cell_length_a 9.411
_cell_length_b 3.232
_cell_length_c 7.771
_cell_angle_alpha 90.00
_cell_angle_beta 121.93
_cell_angle_gamma 90.00
_symmetry_space_group_name_H-M 'C 1 m 1'
_symmetry_Int_Tables_number 8
_symmetry_space_group_name_Hall 'C -2y'
loop_
_atom_site_label
_atom_site_type_symbol
_atom_site_fract_x
_atom_site_fract_y
_atom_site_fract_z
Na1 Na 0.000 0.000 0.000
In1 In 0.393 0.000 0.281
Sn1 Sn 0.253 0.000 0.567
Au1 Au 0.110 0.500 0.753
```



10.
Computed powder X-ray diffraction pattern
Compound: NaZnInAu3
Radiation: Cu Kα X-rays
Structure: the GGA-PBE geometry in Alexandria
Intensities are scaled so that the largest is 100.

Principal peaks in the range 5° ≤ 2θ ≤ 70°, sorted by position:
| 2θ/deg | I_rel |
| --- | --- |
| 19.81 | 39 |
| 24.84 | 100 |
| 25.97 | 80 |
| 30.75 | 52 |
| 35.08 | 70 |
| 35.70 | 83 |
| 38.54 | 49 |
| 44.18 | 65 |
| 45.33 | 45 |
| 54.05 | 39 |

Structural model:
```
data_NaZnInAu3
_chemical_formula_sum 'Na4 Zn4 In4 Au12'
_cell_length_a 6.427
_cell_length_b 14.071
_cell_length_c 6.086
_cell_angle_alpha 90.00
_cell_angle_beta 107.26
_cell_angle_gamma 90.00
_symmetry_space_group_name_H-M 'C 1 2/c 1'
_symmetry_Int_Tables_number 15
_symmetry_space_group_name_Hall '-C 2yc'
loop_
_atom_site_label
_atom_site_type_symbol
_atom_site_fract_x
_atom_site_fract_y
_atom_site_fract_z
Na1 Na 0.000 0.228 0.250
Zn1 Zn 0.000 0.003 0.750
In1 In 0.000 0.391 0.750
Au1 Au 0.000 0.194 0.750
Au2 Au 0.207 0.421 0.415
```



11.
Computed powder X-ray diffraction pattern
Compound: Nb12In3Au
Radiation: Cu Kα X-rays
Structure: the GGA-PBE geometry in Alexandria
Intensities are scaled so that the largest is 100.

Principal peaks in the range 5° ≤ 2θ ≤ 70°, sorted by position:
| 2θ/deg | I_rel |
| --- | --- |
| 8.31 | 3 |
| 16.69 | 2 |
| 18.68 | 2 |
| 23.69 | 7 |
| 33.74 | 45 |
| 37.87 | 89 |
| 41.64 | 100 |
| 60.36 | 4 |
| 63.10 | 19 |
| 65.77 | 50 |

Structural model:
```
data_Nb12In3Au
_chemical_formula_sum 'Nb12 In3 Au1'
_cell_length_a 5.307
_cell_length_b 5.313
_cell_length_c 10.634
_cell_angle_alpha 90.00
_cell_angle_beta 90.00
_cell_angle_gamma 90.00
_symmetry_space_group_name_H-M 'P m m m'
_symmetry_Int_Tables_number 47
_symmetry_space_group_name_Hall '-P 2 2'
loop_
_atom_site_label
_atom_site_type_symbol
_atom_site_fract_x
_atom_site_fract_y
_atom_site_fract_z
Nb1 Nb 0.000 0.000 0.120
Nb2 Nb 0.000 0.000 0.371
Nb3 Nb 0.248 0.500 0.246
Nb4 Nb 0.500 0.247 0.500
Nb5 Nb 0.500 0.255 0.000
In1 In 0.000 0.500 0.500
In2 In 0.500 0.000 0.251
Au1 Au 0.000 0.500 0.000
```



12.
Computed powder X-ray diffraction pattern
Compound: NdIn4Au2
Radiation: Cu Kα X-rays
Structure: the GGA-PBE geometry in Alexandria
Intensities are scaled so that the largest is 100.

Principal peaks in the range 5° ≤ 2θ ≤ 70°, sorted by position:
| 2θ/deg | I_rel |
| --- | --- |
| 31.86 | 100 |
| 32.83 | 69 |
| 34.55 | 16 |
| 35.57 | 31 |
| 38.43 | 16 |
| 38.53 | 57 |
| 41.76 | 32 |
| 42.18 | 38 |
| 43.20 | 21 |
| 53.44 | 19 |

Structural model:
```
data_NdIn4Au2
_chemical_formula_sum 'Nd4 In16 Au8'
_cell_length_a 18.736
_cell_length_b 4.673
_cell_length_c 7.583
_cell_angle_alpha 90.00
_cell_angle_beta 90.00
_cell_angle_gamma 90.00
_symmetry_space_group_name_H-M 'P n m a'
_symmetry_Int_Tables_number 62
_symmetry_space_group_name_Hall '-P 2ac 2n'
loop_
_atom_site_label
_atom_site_type_symbol
_atom_site_fract_x
_atom_site_fract_y
_atom_site_fract_z
Nd1 Nd 0.143 0.250 0.028
In1 In 0.035 0.750 0.864
In2 In 0.067 0.250 0.483
In3 In 0.185 0.750 0.326
In4 In 0.187 0.750 0.737
Au1 Au 0.038 0.750 0.245
Au2 Au 0.218 0.250 0.535
```